Computed X-ray diffraction stick pattern
Compound: Sr2ZnSn2Au4
Radiation: a wavelength of 1.5418 Å
Structure: the GGA-PBE geometry in Alexandria
No peak broadening, texture or thermal motion is included.

Principal peaks in the range 10 to 90 degrees two-theta, sorted by position:
2theta	I/Imax
19.6	185
32.4	1000
36.4	497
39.8	132
41.6	213
52.4	172
55.0	200
63.0	287
67.8	104
88.6	84

Crystal structure
abc: 6.702 6.702 6.702
angles: 117.21 117.21 94.90
Positions (direct):
Sr 0.250 0.750 0.500
Sr 0.750 0.250 0.500
Zn 0.000 0.000 0.000
Sn 0.312 0.312 0.000
Sn 0.688 0.688 0.000
Au 0.262 0.262 0.524
Au 0.262 0.738 0.000
Au 0.738 0.262 0.000
Au 0.738 0.738 0.476